# InAg4F7
Calculated powder diffractogram, Cu Kα (weighted mean of Kα1 and Kα2). Input: a GGA-PBE-relaxed structure.

Cell and atoms:
```
12
Lattice="4.247 0.000 0.000 -1.977 6.542 0.000 -1.376 -2.749 7.688" Properties=species:S:1:pos:R:3 pbc="T T T"
In 0.000 0.000 0.000
Ag -1.104 1.552 5.434
Ag 0.383 -0.830 4.868
Ag 0.511 4.623 2.820
Ag 1.997 2.241 2.254
F -1.927 5.273 1.666
F -0.020 1.693 1.243
F -1.061 3.439 3.866
F 2.123 0.000 0.000
F 1.954 0.354 3.821
F 0.914 2.100 6.445
F 2.820 -1.480 6.022
```

Largest 10 diffraction maxima, sorted by position, 2θ = 10–90°:
22.77°, rel. 100, hkl 0 1 -2; 27.87°, rel. 36, hkl 1 0 -2; 28.16°, rel. 70, hkl 1 0 1; 29.02°, rel. 55, hkl 1 1 -1; 29.93°, rel. 38, hkl 1 -2 0; 34.84°, rel. 34, hkl 0 2 1; 35.02°, rel. 23, hkl 0 0 3; 42.85°, rel. 32, hkl -2 1 1; 43.61°, rel. 23, hkl 1 -3 2; 46.68°, rel. 26, hkl 1 1 -4